The following is a theoretical X-ray powder pattern of Sc2Ta4Ni3C3. It was derived from a GGA-PBE-relaxed structure, using λ = 1.5418 Å (Cu Kα).

Top 10 peaks for 2θ from 10° to 80°, by angle:
| 2theta | d/Å | intensity |
| --- | --- | --- |
| 13.4 | 6.593 | 29 |
| 19.1 | 4.646 | 70 |
| 19.5 | 4.549 | 54 |
| 33.1 | 2.703 | 52 |
| 33.8 | 2.650 | 54 |
| 39.0 | 2.311 | 98 |
| 39.1 | 2.303 | 100 |
| 39.3 | 2.293 | 95 |
| 41.1 | 2.197 | 68 |
| 59.2 | 1.560 | 47 |

Atomic structure:
a = 5.405 Å, b = 5.405 Å, c = 13.582 Å
α = 101.99°, β = 101.99°, γ = 60.01°
Sites, in units of the cell vectors:
Sc1 0.041 0.879 0.618
Sc2 0.121 0.959 0.882
Sc3 0.879 0.041 0.118
Sc4 0.959 0.121 0.382
Ta1 0.196 0.357 0.089
Ta2 0.295 0.478 0.411
Ta3 0.357 0.196 0.589
Ta4 0.478 0.295 0.911
Ta5 0.522 0.705 0.089
Ta6 0.643 0.804 0.411
Ta7 0.705 0.522 0.589
Ta8 0.804 0.643 0.911
Ni1 0.087 0.399 0.750
Ni2 0.399 0.087 0.250
Ni3 0.423 0.577 0.250
Ni4 0.577 0.423 0.750
Ni5 0.601 0.913 0.750
Ni6 0.913 0.601 0.250
C1 0.000 0.500 0.500
C2 0.168 0.664 0.000
C3 0.336 0.832 0.500
C4 0.500 0.000 0.000
C5 0.664 0.168 0.500
C6 0.832 0.336 0.000

---

The following is a theoretical X-ray powder pattern of Ta4NbB6. It was derived from a GGA-PBE-relaxed structure, using λ = 1.5418 Å (Cu Kα).

Top 10 peaks for 2θ from 10° to 80°, by angle:
| 2theta | d/Å | intensity |
| --- | --- | --- |
| 28.1 | 3.175 | 44 |
| 31.3 | 2.859 | 21 |
| 34.6 | 2.594 | 100 |
| 39.6 | 2.275 | 48 |
| 41.3 | 2.186 | 87 |
| 41.9 | 2.157 | 63 |
| 55.6 | 1.653 | 17 |
| 67.1 | 1.394 | 30 |
| 67.4 | 1.390 | 31 |
| 74.5 | 1.274 | 23 |

Atomic structure:
a = 11.495 Å, b = 11.495 Å, c = 3.307 Å
α = 90.00°, β = 90.00°, γ = 164.22°
Sites, in units of the cell vectors:
Ta1 0.114 0.886 0.000
Ta2 0.306 0.694 0.500
Ta3 0.694 0.306 0.500
Ta4 0.886 0.114 0.000
Nb1 0.500 0.500 0.000
B1 0.040 0.960 0.500
B2 0.227 0.773 0.000
B3 0.418 0.582 0.500
B4 0.582 0.418 0.500
B5 0.773 0.227 0.000
B6 0.960 0.040 0.500

---

The following is a theoretical X-ray powder pattern of Au3I4. It was derived from a GGA-PBE-relaxed structure, using λ = 1.5418 Å (Cu Kα).

Top 10 peaks for 2θ from 10° to 80°, by angle:
| 2theta | d/Å | intensity |
| --- | --- | --- |
| 15.9 | 5.560 | 10 |
| 24.8 | 3.588 | 100 |
| 25.9 | 3.445 | 8 |
| 33.0 | 2.713 | 11 |
| 39.0 | 2.307 | 7 |
| 41.1 | 2.197 | 76 |
| 48.6 | 1.874 | 47 |
| 59.5 | 1.554 | 8 |
| 65.5 | 1.426 | 19 |
| 74.9 | 1.269 | 24 |

Atomic structure:
a = 7.607 Å, b = 7.607 Å, c = 7.607 Å
α = 131.76°, β = 131.76°, γ = 70.61°
Sites, in units of the cell vectors:
Au1 0.000 0.000 0.000
Au2 0.250 0.750 0.500
Au3 0.750 0.250 0.500
I1 0.154 0.154 0.540
I2 0.386 0.846 0.000
I3 0.614 0.614 0.460
I4 0.846 0.386 0.000